(1)
This entry pairs a crystal structure of TbPPd with its simulated powder diffraction line list. Radiation: Cu Kα (λ = 1.5418 Å). Structure: a DFT-relaxed cell (PBE, the Materials Project).
No peak broadening, texture or thermal motion is included.

Most intense lines, 2θ from 10° to 90°, by angle:
2θ (°)  d_spacing  intensity
24.8  3.584  25
34.0  2.637  40
34.6  2.595  100
36.0  2.497  81
37.1  2.425  36
40.6  2.223  22
41.4  2.179  34
43.6  2.078  21
44.9  2.020  33
67.0  1.397  26

Atomic structure:
```
TbPPd
1.0
6.9610 0.0000 0.0000
0.0000 4.0403 0.0000
0.0000 0.0000 7.7617
Tb P Pd
4 4 4
Direct
0.0283 0.2500 0.1882
0.4717 0.7500 0.6882
0.5283 0.2500 0.3118
0.9717 0.7500 0.8118
0.2470 0.7500 0.3784
0.2530 0.2500 0.8784
0.7470 0.7500 0.1216
0.7530 0.2500 0.6216
0.1502 0.2500 0.5613
0.3498 0.7500 0.0613
0.6502 0.2500 0.9387
0.8498 0.7500 0.4387
```

(2)
This entry pairs a crystal structure of BaTlO3 with its simulated powder diffraction line list. Radiation: Cu Kα (λ = 1.5418 Å). Structure: a DFT-relaxed cell (PBE, the Materials Project).
No peak broadening, texture or thermal motion is included.

Most intense lines, 2θ from 10° to 90°, by angle:
2θ (°)  d_spacing  intensity
20.4  4.350  9
29.0  3.076  100
41.5  2.175  28
46.7  1.945  4
51.5  1.776  42
60.2  1.538  18
64.2  1.450  2
68.2  1.376  19
75.7  1.256  6
83.1  1.163  22

Atomic structure:
```
BaTlO3
1.0
4.3502 0.0000 0.0000
0.0000 4.3502 0.0000
0.0000 0.0000 4.3502
Ba Tl O
1 1 3
Direct
0.0000 0.0000 0.0000
0.5000 0.5000 0.5000
0.0000 0.5000 0.5000
0.5000 0.0000 0.5000
0.5000 0.5000 0.0000
```

(3)
This entry pairs a crystal structure of BaSrTm4O8 with its simulated powder diffraction line list. Radiation: Cu Kα (λ = 1.5418 Å). Structure: a DFT-relaxed cell (PBE, the Materials Project).
No peak broadening, texture or thermal motion is included.

Most intense lines, 2θ from 10° to 90°, by angle:
2θ (°)  d_spacing  intensity
29.8  2.996  41
30.1  2.970  85
31.5  2.842  100
44.0  2.060  28
44.2  2.049  19
53.1  1.725  13
54.0  1.699  14
54.2  1.691  20
54.4  1.686  14
62.9  1.477  22

Atomic structure:
```
BaSrTm4O8
1.0
3.4052 0.0000 0.0000
0.0000 11.9848 0.0000
0.0000 0.0000 10.2596
Ba Sr Tm O
2 2 8 16
Direct
0.0000 0.1007 0.0000
0.0000 0.8993 0.5000
0.5000 0.3987 0.5073
0.5000 0.6013 0.0073
0.0000 0.1421 0.3283
0.0000 0.3620 0.8299
0.0000 0.6380 0.3299
0.0000 0.8579 0.8283
0.5000 0.1443 0.6741
0.5000 0.3647 0.1819
0.5000 0.6353 0.6819
0.5000 0.8557 0.1741
0.0000 0.0342 0.7340
0.0000 0.2728 0.6320
0.0000 0.3284 0.3299
0.0000 0.4170 0.0439
0.0000 0.5830 0.5439
0.0000 0.6716 0.8299
0.0000 0.7272 0.1320
0.0000 0.9658 0.2340
0.5000 0.0914 0.4630
0.5000 0.1789 0.1862
0.5000 0.2353 0.8670
0.5000 0.4673 0.7703
0.5000 0.5327 0.2703
0.5000 0.7647 0.3670
0.5000 0.8211 0.6862
0.5000 0.9086 0.9630
```

(4)
This entry pairs a crystal structure of LiIr2N3 with its simulated powder diffraction line list. Radiation: Cu Kα (λ = 1.5418 Å). Structure: a DFT-relaxed cell (PBE, the Materials Project).
No peak broadening, texture or thermal motion is included.

Most intense lines, 2θ from 10° to 90°, by angle:
2θ (°)  d_spacing  intensity
17.6  5.036  94
25.0  3.565  100
31.3  2.859  53
35.4  2.536  84
35.6  2.524  46
36.1  2.488  60
36.6  2.456  32
40.0  2.256  28
51.8  1.764  60
51.9  1.760  28

Atomic structure:
```
LiIr2N3
1.0
4.9128 -2.9322 0.0000
4.9128 2.9322 0.0000
0.0000 0.0000 5.0488
Li Ir N
2 4 6
Direct
0.1702 0.8298 0.5000
0.8298 0.1702 0.0000
0.2329 0.4913 0.0250
0.4913 0.2329 0.5250
0.5087 0.7671 0.0250
0.7671 0.5087 0.5250
0.1300 0.4570 0.3776
0.1644 0.8356 0.9016
0.4570 0.1300 0.8776
0.5430 0.8700 0.3776
0.8356 0.1644 0.4016
0.8700 0.5430 0.8776
```

Q: Number 4 is which compound?
A: LiIr2N3

What did the first record say?
This entry pairs a crystal structure of TbPPd with its simulated powder diffraction line list. Radiation: Cu Kα (λ = 1.5418 Å). Structure: a DFT-relaxed cell (PBE, the Materials Project).
No peak broadening, texture or thermal motion is included.

Most intense lines, 2θ from 10° to 90°, by angle:
2θ (°)  d_spacing  intensity
24.8  3.584  25
34.0  2.637  40
34.6  2.595  100
36.0  2.497  81
37.1  2.425  36
40.6  2.223  22
41.4  2.179  34
43.6  2.078  21
44.9  2.020  33
67.0  1.397  26

Atomic structure:
```
TbPPd
1.0
6.9610 0.0000 0.0000
0.0000 4.0403 0.0000
0.0000 0.0000 7.7617
Tb P Pd
4 4 4
Direct
0.0283 0.2500 0.1882
0.4717 0.7500 0.6882
0.5283 0.2500 0.3118
0.9717 0.7500 0.8118
0.2470 0.7500 0.3784
0.2530 0.2500 0.8784
0.7470 0.7500 0.1216
0.7530 0.2500 0.6216
0.1502 0.2500 0.5613
0.3498 0.7500 0.0613
0.6502 0.2500 0.9387
0.8498 0.7500 0.4387
```